[1]
Structure and theoretical powder X-ray diffraction pattern of Li2OsO5 (a cell relaxed with GGA-PBE; Cu Ka).
No peak broadening, texture or thermal motion is included.

Structure:
Cell: 3.7786 10.3691 10.1457 Å, 90.00 90.00 90.00°
Space group Cmcm (No. 63)
Unique sites:
Li1 0.0000 0.1277 0.0577 (multiplicity 8)
Os1 0.0000 0.1795 0.7500 (multiplicity 4)
O1 0.0000 0.0509 0.6260 (multiplicity 8)
O2 0.0000 0.2997 0.6151 (multiplicity 8)
O3 0.0000 0.3122 0.2500 (multiplicity 4)

Peak list (8 most intense, 15 to 90 degrees two-theta, in order of rising 2θ)
- 5.185 Å, I = 38
- 5.073 Å, I = 78
- 4.617 Å, I = 81
- 3.626 Å, I = 30
- 3.351 Å, I = 100
- 2.833 Å, I = 28
- 2.279 Å, I = 39
- 2.057 Å, I = 24


[2]
Structure and theoretical powder X-ray diffraction pattern of LiPr2OsO6 (a cell relaxed with GGA-PBE; Cu Ka).
No peak broadening, texture or thermal motion is included.

Structure:
Cell: 5.5121 5.8557 9.5508 Å, 90.00 124.74 90.00°
Space group P2_1/c (No. 14)
Unique sites:
Li1 0.0000 0.0000 0.0000 (multiplicity 2)
Pr1 0.2324 0.0684 0.7487 (multiplicity 4)
Os1 0.5000 0.0000 0.5000 (multiplicity 2)
O1 0.1590 0.1869 0.4527 (multiplicity 4)
O2 0.2653 0.7135 0.4473 (multiplicity 4)
O3 0.3533 0.0306 0.2566 (multiplicity 4)

Peak list (8 most intense, 15 to 90 degrees two-theta, in order of rising 2θ)
- 4.693 Å, I = 75
- 4.492 Å, I = 43
- 2.928 Å, I = 41
- 2.815 Å, I = 100
- 2.797 Å, I = 100
- 2.756 Å, I = 51
- 2.007 Å, I = 39
- 1.606 Å, I = 34


[3]
Structure and theoretical powder X-ray diffraction pattern of Rb2LiOs2O6 (a cell relaxed with GGA-PBE; Cu Ka).
No peak broadening, texture or thermal motion is included.

Structure:
Cell: 5.5236 5.5236 27.0309 Å, 90.00 90.00 120.00°
Space group R3 (No. 146, hexagonal axes)
Unique sites:
Rb1 0.0000 0.0000 0.0000 (multiplicity 3)
Rb2 0.0000 0.0000 0.1832 (multiplicity 3)
Li1 0.0000 0.0000 0.3398 (multiplicity 3)
Os1 0.0000 0.0000 0.4259 (multiplicity 3)
Os2 0.0000 0.0000 0.7556 (multiplicity 3)
O1 0.0070 0.4262 0.0471 (multiplicity 9)
O2 0.0733 0.7337 0.4620 (multiplicity 9)

Peak list (8 most intense, 15 to 90 degrees two-theta, in order of rising 2θ)
- 4.508 Å, I = 39
- 3.904 Å, I = 89
- 3.583 Å, I = 83
- 3.004 Å, I = 65
- 2.762 Å, I = 100
- 2.641 Å, I = 63
- 2.033 Å, I = 83
- 1.746 Å, I = 74


[4]
Structure and theoretical powder X-ray diffraction pattern of Rb2LiOs2O6 (a cell relaxed with GGA-PBE; Cu Ka).
No peak broadening, texture or thermal motion is included.

Structure:
Cell: 5.4987 5.4987 19.2153 Å, 90.00 90.00 120.00°
Space group R-3 (No. 148, hexagonal axes)
Unique sites:
Rb1 0.0000 0.0000 0.1549 (multiplicity 6)
Li1 0.0000 0.0000 0.0000 (multiplicity 3)
Os1 0.0000 0.0000 0.3346 (multiplicity 6)
O1 0.0029 0.3773 0.9467 (multiplicity 18)

Peak list (8 most intense, 15 to 90 degrees two-theta, in order of rising 2θ)
- 4.267 Å, I = 69
- 3.382 Å, I = 63
- 3.203 Å, I = 42
- 2.749 Å, I = 90
- 2.086 Å, I = 100
- 1.686 Å, I = 31
- 1.587 Å, I = 26
- 1.422 Å, I = 25


[5]
Structure and theoretical powder X-ray diffraction pattern of Rb2LiOs2O6 (a cell relaxed with GGA-PBE; Cu Ka).
No peak broadening, texture or thermal motion is included.

Structure:
Cell: 5.6562 5.6562 16.6999 Å, 90.00 90.00 120.00°
Space group R-3 (No. 148, hexagonal axes)
Unique sites:
Rb1 0.0000 0.0000 0.1222 (multiplicity 6)
Li1 0.0000 0.0000 0.5000 (multiplicity 3)
Os1 0.0000 0.0000 0.3314 (multiplicity 6)
O1 0.0077 0.4522 0.0693 (multiplicity 18)

Peak list (8 most intense, 15 to 90 degrees two-theta, in order of rising 2θ)
- 5.567 Å, I = 50
- 4.225 Å, I = 42
- 3.177 Å, I = 58
- 2.828 Å, I = 100
- 2.760 Å, I = 37
- 2.521 Å, I = 33
- 1.984 Å, I = 42
- 1.551 Å, I = 35


[6]
Structure and theoretical powder X-ray diffraction pattern of Rb2LiOsO6 (a cell relaxed with GGA-PBE; Cu Ka).
No peak broadening, texture or thermal motion is included.

Structure:
Cell: 6.1704 6.1704 5.1362 Å, 90.00 90.00 120.00°
Space group P-3m1 (No. 164)
Unique sites:
Rb1 0.3333 0.6667 0.2745 (multiplicity 2)
Li1 0.0000 0.0000 0.5000 (multiplicity 1)
Os1 0.0000 0.0000 0.0000 (multiplicity 1)
O1 0.1412 0.2823 0.7847 (multiplicity 6)

Peak list (8 most intense, 15 to 90 degrees two-theta, in order of rising 2θ)
- 5.344 Å, I = 42
- 3.703 Å, I = 100
- 3.085 Å, I = 62
- 2.370 Å, I = 44
- 2.315 Å, I = 31
- 1.880 Å, I = 26
- 1.852 Å, I = 24
- 1.588 Å, I = 27


[7]
Structure and theoretical powder X-ray diffraction pattern of LiSc2OsO6 (a cell relaxed with GGA-PBE; Cu Ka).
No peak broadening, texture or thermal motion is included.

Structure:
Cell: 5.2744 5.2744 14.4887 Å, 90.00 90.00 120.00°
Space group R3 (No. 146, hexagonal axes)
Unique sites:
Li1 0.0000 0.0000 0.0000 (multiplicity 3)
Sc1 0.0000 0.0000 0.2696 (multiplicity 3)
Sc2 0.0000 0.0000 0.7776 (multiplicity 3)
Os1 0.0000 0.0000 0.4683 (multiplicity 3)
O1 0.0021 0.3534 0.2043 (multiplicity 9)
O2 0.0075 0.7118 0.3792 (multiplicity 9)

Peak list (8 most intense, 15 to 90 degrees two-theta, in order of rising 2θ)
- 4.830 Å, I = 45
- 4.356 Å, I = 100
- 3.864 Å, I = 43
- 2.838 Å, I = 46
- 2.637 Å, I = 43
- 2.447 Å, I = 21
- 2.315 Å, I = 44
- 1.781 Å, I = 40


[8]
Structure and theoretical powder X-ray diffraction pattern of LiTbOs2O8 (a cell relaxed with GGA-PBE; Cu Ka).
No peak broadening, texture or thermal motion is included.

Structure:
Cell: 5.1937 5.1937 11.2094 Å, 90.00 90.00 90.00°
Space group I-4 (No. 82)
Unique sites:
Li1 0.0000 0.0000 0.0000 (multiplicity 2)
Tb1 0.0000 0.5000 0.7500 (multiplicity 2)
Os1 0.0000 0.0000 0.5000 (multiplicity 2)
Os2 0.0000 0.5000 0.2500 (multiplicity 2)
O1 0.1653 0.2482 0.5856 (multiplicity 8)
O2 0.1704 0.7484 0.1665 (multiplicity 8)

Peak list (8 most intense, 15 to 90 degrees two-theta, in order of rising 2θ)
- 4.712 Å, I = 36
- 3.072 Å, I = 100
- 2.802 Å, I = 15
- 2.597 Å, I = 21
- 1.905 Å, I = 31
- 1.665 Å, I = 17
- 1.576 Å, I = 28
- 1.233 Å, I = 20


[9]
Structure and theoretical powder X-ray diffraction pattern of LiTlOsO4 (a cell relaxed with GGA-PBE; Cu Ka).
No peak broadening, texture or thermal motion is included.

Structure:
Cell: 6.0904 6.0904 7.5397 Å, 90.00 90.00 90.00°
Space group I-4 (No. 82)
Unique sites:
Li1 0.0000 0.0000 0.0000 (multiplicity 2)
Tl1 0.0000 0.0000 0.5000 (multiplicity 2)
Os1 0.0000 0.5000 0.7500 (multiplicity 2)
O1 0.0949 0.7603 0.8318 (multiplicity 8)

Peak list (8 most intense, 15 to 90 degrees two-theta, in order of rising 2θ)
- 4.738 Å, I = 100
- 3.045 Å, I = 30
- 2.837 Å, I = 56
- 2.562 Å, I = 39
- 2.323 Å, I = 18
- 2.153 Å, I = 12
- 1.847 Å, I = 14
- 1.715 Å, I = 27